Structure and simulated powder diffractogram of K3P5RuSe10 (a crystal structure in the Materials Project, relaxed with PBE; Cu Kα (λ = 1.5418 Å)).

Structural model:
```
data_K3P5RuSe10
_cell_length_a 11.3774
_cell_length_b 7.4246
_cell_length_c 12.6837
_cell_angle_alpha 90.00
_cell_angle_beta 93.08
_cell_angle_gamma 90.00
_symmetry_space_group_name_H-M 'P 1 21/m 1'
_symmetry_Int_Tables_number 11
loop_
_symmetry_equiv_pos_as_xyz
'x,y,z'
'-x,-y,-z'
'-x,y+1/2,-z'
'x,-y+1/2,z'
loop_
_atom_site_label
_atom_site_fract_x
_atom_site_fract_y
_atom_site_fract_z
K1 0.0129 0.2500 0.1078
K2 0.0982 0.7500 0.4311
K3 0.4727 0.7500 0.8878
P1 0.1360 0.2500 0.7739
P2 0.2761 0.2500 0.9086
P3 0.2773 0.2500 0.4423
P4 0.4761 0.0201 0.5837
Ru1 0.3501 0.2500 0.6150
Se1 0.0377 0.7500 0.1669
Se2 0.0939 0.2500 0.3813
Se3 0.1866 0.0241 0.6687
Se4 0.2578 0.0045 0.9996
Se5 0.3409 0.0099 0.3384
Se6 0.3790 0.7500 0.6209
Se7 0.4383 0.2500 0.8122
```

Principal peaks in the range 2θ from 10° to 80°, by intensity:
2θ 29.4, rel. 1000
2θ 27.0, rel. 730
2θ 31.9, rel. 623
2θ 31.7, rel. 577
2θ 32.1, rel. 493
2θ 10.7, rel. 476
2θ 28.7, rel. 417
2θ 14.3, rel. 407
2θ 35.3, rel. 396
2θ 21.0, rel. 382
2θ 49.1, rel. 341
2θ 55.7, rel. 282